(1)
Computed powder diffractogram
Compound: Hg3Se3O10
Radiation: Cu Kα
Structure: a crystal structure in the Materials Project, relaxed with PBE
Peak positions follow from Bragg's law for the DFT cell and can differ from measured ones.

The 10 most intense peaks (2θ from 5° to 70°), sorted by position:
d 8.238, I 31
d 3.285, I 18
d 3.218, I 100
d 3.181, I 90
d 2.848, I 29
d 2.724, I 27
d 1.968, I 31
d 1.934, I 18
d 1.695, I 17
d 1.653, I 19

```
Hg3Se3O10
1.0
8.6700 0.0000 0.0000
0.0000 5.4475 0.0000
-3.5517 0.0000 10.8247
Hg Se O
6 6 20
Direct
0.0036 0.0000 0.1281 Hg
0.0073 0.9893 0.6278 Hg
0.3793 0.5041 0.2071 Hg
0.6207 0.0041 0.7929 Hg
0.9927 0.4893 0.3722 Hg
0.9964 0.5000 0.8719 Hg
0.2574 0.0217 0.9608 Se
0.2607 0.9593 0.4209 Se
0.3540 0.4963 0.7152 Se
0.6460 0.9963 0.2848 Se
0.7393 0.4593 0.5791 Se
0.7426 0.5217 0.0392 Se
0.1027 0.1270 0.8322 O
0.1129 0.8409 0.4818 O
0.1493 0.1803 0.3156 O
0.1599 0.7835 0.0135 O
0.2248 0.2451 0.0605 O
0.2336 0.6662 0.7725 O
0.2422 0.7189 0.3191 O
0.2558 0.3120 0.6003 O
0.4716 0.3221 0.8353 O
0.4779 0.6840 0.6658 O
0.5221 0.1840 0.3342 O
0.5284 0.8221 0.1647 O
0.7442 0.8120 0.3997 O
0.7578 0.2189 0.6809 O
0.7664 0.1662 0.2275 O
0.7752 0.7451 0.9395 O
0.8401 0.2835 0.9865 O
0.8507 0.6803 0.6844 O
0.8871 0.3409 0.5182 O
0.8973 0.6270 0.1678 O
```



(2)
Computed powder diffractogram
Compound: Hg3Te2SeO10
Radiation: Cu Kα
Structure: a crystal structure in the Materials Project, relaxed with PBE
Peak positions follow from Bragg's law for the DFT cell and can differ from measured ones.

The 10 most intense peaks (2θ from 5° to 70°), sorted by position:
d 8.176, I 13
d 3.216, I 100
d 2.842, I 15
d 2.792, I 15
d 2.725, I 11
d 1.992, I 16
d 1.967, I 11
d 1.950, I 11
d 1.704, I 16
d 1.682, I 15

```
Hg3Te2SeO10
1.0
8.6586 0.0000 0.0000
0.0000 5.5830 0.0000
-3.7443 0.0000 10.7342
Hg Te Se O
6 4 2 20
Direct
0.0080 0.0000 0.3721 Hg
0.0105 0.0145 0.8842 Hg
0.3170 0.9991 0.7020 Hg
0.6830 0.4991 0.2980 Hg
0.9895 0.5145 0.1158 Hg
0.9920 0.5000 0.6279 Hg
0.2721 0.4863 0.4475 Te
0.2928 0.5216 0.9430 Te
0.7072 0.0216 0.0570 Te
0.7279 0.9863 0.5525 Te
0.3557 0.9998 0.2175 Se
0.6443 0.4998 0.7825 Se
0.0881 0.3722 0.3139 O
0.1174 0.6554 0.9880 O
0.1468 0.6982 0.5145 O
0.1570 0.3243 0.8084 O
0.2314 0.8362 0.2744 O
0.2447 0.2087 0.5377 O
0.2496 0.1749 0.0990 O
0.3004 0.8107 0.8572 O
0.4742 0.1746 0.3345 O
0.4749 0.8121 0.1687 O
0.5251 0.3121 0.8313 O
0.5258 0.6746 0.6655 O
0.6996 0.3107 0.1428 O
0.7504 0.6749 0.9010 O
0.7553 0.7087 0.4623 O
0.7686 0.3362 0.7256 O
0.8430 0.8243 0.1916 O
0.8532 0.1982 0.4855 O
0.8826 0.1554 0.0120 O
0.9119 0.8722 0.6861 O
```



(3)
Computed powder diffractogram
Compound: SiHgO3
Radiation: Cu Kα
Structure: a crystal structure in the Materials Project, relaxed with PBE
Peak positions follow from Bragg's law for the DFT cell and can differ from measured ones.

The 6 most intense peaks (2θ from 5° to 70°), sorted by position:
d 3.665, I 62
d 2.591, I 100
d 2.116, I 40
d 1.832, I 30
d 1.639, I 29
d 1.496, I 39

```
SiHgO3
1.0
3.6648 0.0000 0.0000
0.0000 3.6648 0.0000
0.0000 0.0000 3.6648
Si Hg O
1 1 3
Direct
0.0000 0.0000 0.0000 Si
0.5000 0.5000 0.5000 Hg
0.0000 0.0000 0.5000 O
0.0000 0.5000 0.0000 O
0.5000 0.0000 0.0000 O
```



(4)
Computed powder diffractogram
Compound: SiHg2O4
Radiation: Cu Kα
Structure: a crystal structure in the Materials Project, relaxed with PBE
Peak positions follow from Bragg's law for the DFT cell and can differ from measured ones.

The 10 most intense peaks (2θ from 5° to 70°), sorted by position:
d 5.090, I 20
d 3.994, I 51
d 3.130, I 100
d 2.856, I 77
d 2.844, I 61
d 2.470, I 37
d 2.089, I 25
d 2.011, I 19
d 1.872, I 21
d 1.864, I 24

```
SiHg2O4
1.0
0.0000 5.6124 5.6858
3.3023 0.0000 5.6858
3.3023 5.6124 0.0000
Si Hg O
2 4 8
Direct
0.1250 0.1250 0.1250 Si
0.8750 0.8750 0.8750 Si
0.1901 0.5599 0.1901 Hg
0.4401 0.8099 0.4401 Hg
0.5599 0.1901 0.5599 Hg
0.8099 0.4401 0.8099 Hg
0.1569 0.2540 0.2760 O
0.1868 0.7240 0.7460 O
0.2540 0.1569 0.8132 O
0.2760 0.8132 0.1569 O
0.7240 0.1868 0.8431 O
0.7460 0.8431 0.1868 O
0.8132 0.2760 0.2540 O
0.8431 0.7460 0.7240 O
```



(5)
Computed powder diffractogram
Compound: SrHgO3
Radiation: Cu Kα
Structure: a crystal structure in the Materials Project, relaxed with PBE
Peak positions follow from Bragg's law for the DFT cell and can differ from measured ones.

The 8 most intense peaks (2θ from 5° to 70°), sorted by position:
d 4.236, I 26
d 2.995, I 100
d 2.446, I 2
d 2.118, I 29
d 1.894, I 12
d 1.729, I 42
d 1.498, I 19
d 1.412, I 6

```
SrHgO3
1.0
4.2362 0.0000 0.0000
0.0000 4.2362 0.0000
0.0000 0.0000 4.2362
Sr Hg O
1 1 3
Direct
0.0000 0.0000 0.0000 Sr
0.5000 0.5000 0.5000 Hg
0.0000 0.5000 0.5000 O
0.5000 0.0000 0.5000 O
0.5000 0.5000 0.0000 O
```



(6)
Computed powder diffractogram
Compound: Hg2Te2O7
Radiation: Cu Kα
Structure: a crystal structure in the Materials Project, relaxed with PBE
Peak positions follow from Bragg's law for the DFT cell and can differ from measured ones.

The 10 most intense peaks (2θ from 5° to 70°), sorted by position:
d 3.148, I 53
d 3.136, I 100
d 3.059, I 45
d 2.817, I 32
d 2.648, I 58
d 1.952, I 28
d 1.908, I 23
d 1.619, I 14
d 1.611, I 16
d 1.587, I 14

```
Hg2Te2O7
1.0
6.6552 -3.7747 0.0000
6.6552 3.7747 0.0000
-5.3956 0.0000 12.5932
Hg Te O
8 8 28
Direct
0.0000 0.5000 0.0000 Hg
0.0000 0.5000 0.5000 Hg
0.2095 0.7905 0.7500 Hg
0.2659 0.7341 0.2500 Hg
0.5000 0.0000 0.0000 Hg
0.5000 0.0000 0.5000 Hg
0.7341 0.2659 0.7500 Hg
0.7905 0.2095 0.2500 Hg
0.0000 0.0000 0.0000 Te
0.0000 0.0000 0.5000 Te
0.2710 0.2782 0.7429 Te
0.2782 0.2710 0.2429 Te
0.5000 0.5000 0.0000 Te
0.5000 0.5000 0.5000 Te
0.7218 0.7290 0.7571 Te
0.7290 0.7218 0.2571 Te
0.0442 0.0806 0.3941 O
0.0775 0.2147 0.1014 O
0.0806 0.0442 0.8941 O
0.1112 0.5078 0.6710 O
0.1221 0.5391 0.1995 O
0.2130 0.7110 0.4546 O
0.2147 0.0775 0.6014 O
0.2890 0.7870 0.0454 O
0.3318 0.3722 0.9945 O
0.3722 0.3318 0.4945 O
0.3891 0.4976 0.8463 O
0.4609 0.8779 0.3005 O
0.4922 0.8888 0.8290 O
0.4976 0.3891 0.3463 O
0.5024 0.6109 0.6537 O
0.5078 0.1112 0.1710 O
0.5391 0.1221 0.6995 O
0.6109 0.5024 0.1537 O
0.6278 0.6682 0.5055 O
0.6682 0.6278 0.0055 O
0.7110 0.2130 0.9546 O
0.7853 0.9225 0.3986 O
0.7870 0.2890 0.5454 O
0.8779 0.4609 0.8005 O
0.8888 0.4922 0.3290 O
0.9194 0.9558 0.1059 O
0.9225 0.7853 0.8986 O
0.9558 0.9194 0.6059 O
```



(7)
Computed powder diffractogram
Compound: HgTe2O6
Radiation: Cu Kα
Structure: a crystal structure in the Materials Project, relaxed with PBE
Peak positions follow from Bragg's law for the DFT cell and can differ from measured ones.

The 10 most intense peaks (2θ from 5° to 70°), sorted by position:
d 5.644, I 64
d 5.221, I 23
d 4.261, I 60
d 3.772, I 100
d 3.421, I 97
d 3.053, I 54
d 3.015, I 34
d 2.947, I 44
d 2.791, I 46
d 2.228, I 31

```
HgTe2O6
1.0
6.5729 0.0000 0.0000
0.0000 12.8049 0.0000
-4.2754 0.0000 7.5434
Hg Te O
4 8 24
Direct
0.1746 0.0925 0.2537 Hg
0.1746 0.4075 0.7537 Hg
0.8254 0.5925 0.2463 Hg
0.8254 0.9075 0.7463 Hg
0.1606 0.1202 0.8357 Te
0.1606 0.3798 0.3357 Te
0.3738 0.7060 0.7810 Te
0.3738 0.7940 0.2810 Te
0.6262 0.2060 0.7190 Te
0.6262 0.2940 0.2190 Te
0.8394 0.6202 0.6643 Te
0.8394 0.8798 0.1643 Te
0.0130 0.7330 0.8098 O
0.0130 0.7670 0.3098 O
0.1312 0.5949 0.6416 O
0.1312 0.9051 0.1416 O
0.1363 0.5161 0.2517 O
0.1363 0.9839 0.7517 O
0.3273 0.1499 0.0803 O
0.3273 0.3501 0.5803 O
0.4458 0.1482 0.8272 O
0.4458 0.3518 0.3272 O
0.4993 0.6274 0.9867 O
0.4993 0.8726 0.4867 O
0.5007 0.1274 0.5133 O
0.5007 0.3726 0.0133 O
0.5542 0.6482 0.6728 O
0.5542 0.8518 0.1728 O
0.6727 0.6499 0.4197 O
0.6727 0.8501 0.9197 O
0.8637 0.0161 0.2483 O
0.8637 0.4839 0.7483 O
0.8688 0.0949 0.8584 O
0.8688 0.4051 0.3584 O
0.9870 0.2330 0.6902 O
0.9870 0.2670 0.1902 O
```



(8)
Computed powder diffractogram
Compound: TiHgO3
Radiation: Cu Kα
Structure: a crystal structure in the Materials Project, relaxed with PBE
Peak positions follow from Bragg's law for the DFT cell and can differ from measured ones.

The 10 most intense peaks (2θ from 5° to 70°), sorted by position:
d 3.896, I 78
d 2.787, I 100
d 2.723, I 87
d 2.232, I 34
d 1.948, I 50
d 1.759, I 18
d 1.726, I 20
d 1.622, I 20
d 1.584, I 39
d 1.572, I 22

```
TiHgO3
1.0
2.7233 1.5723 4.6066
-2.7233 1.5723 4.6066
0.0000 -3.1446 4.6066
Ti Hg O
2 2 6
Direct
0.0000 0.0000 0.0000 Ti
0.5000 0.5000 0.5000 Ti
0.2500 0.2500 0.2500 Hg
0.7500 0.7500 0.7500 Hg
0.1680 0.7500 0.3320 O
0.2500 0.6680 0.8320 O
0.3320 0.1680 0.7500 O
0.6680 0.8320 0.2500 O
0.7500 0.3320 0.1680 O
0.8320 0.2500 0.6680 O
```